CsMgScF6: simulated XRD peak list (Cu Kα), based on the GGA-PBE geometry in Alexandria.

Structural model:
Cell lengths 7.5687, 7.5687, 7.5687 Å; angles 121.00, 118.86, 90.13 degrees
Fractional positions:
Cs  0.3514  0.1014  0.2500
Cs  0.6486  0.8986  0.7500
Mg  0.0000  0.0000  0.5000
Mg  0.0000  0.5000  0.0000
Sc  0.0000  0.5000  0.5000
Sc  0.5000  0.5000  0.0000
F  0.0601  0.4263  0.2423
F  0.0601  0.8178  0.6338
F  0.0605  0.8105  0.2500
F  0.3160  0.1822  0.7423
F  0.3160  0.5737  0.1338
F  0.3218  0.5718  0.7500
F  0.6782  0.4282  0.2500
F  0.6840  0.4263  0.8662
F  0.6840  0.8178  0.2577
F  0.9395  0.1895  0.7500
F  0.9399  0.1822  0.3662
F  0.9399  0.5737  0.7577

Principal peaks in the range 10° ≤ 2θ ≤ 80°, by angle:
| two_theta | intensity |
| --- | --- |
| 23.5 | 67 |
| 27.4 | 100 |
| 27.6 | 49 |
| 27.9 | 49 |
| 36.8 | 38 |
| 48.1 | 43 |